LaTbDy2Tm2: theoretical powder diffractogram (Cu Kα, 1.54184 Å), based on a structure optimized by DFT (GGA-PBE).

Structural model:
```
LaTbDy2Tm2
1.0
6.9309 0.0000 0.0000
0.0000 16.0294 0.0000
0.0000 0.0000 3.5360
La Tb Dy Tm
2 2 4 4
direct
0.0000 0.0000 0.0000
0.5000 0.5000 0.5000
0.0000 0.5000 0.5000
0.5000 0.0000 0.0000
0.2484 0.3409 0.0000
0.2516 0.8409 0.5000
0.7484 0.1591 0.5000
0.7516 0.6591 0.0000
0.2501 0.1563 0.5000
0.2499 0.6563 0.0000
0.7501 0.3437 0.0000
0.7499 0.8437 0.5000
```

Peak list (6 most intense, 2θ = 10–90°, low angle first)
| d/Å | I_rel |
| --- | --- |
| 3.181 | 43 |
| 2.949 | 100 |
| 2.672 | 36 |
| 2.621 | 45 |
| 2.446 | 58 |
| 1.681 | 29 |

***

La4AgSn8: theoretical powder diffractogram (Cu Kα, 1.54184 Å), based on a structure optimized by DFT (GGA-PBE).

Structural model:
```
La4AgSn8
1.0
4.5000 0.0000 0.0000
0.0000 4.6124 0.0000
0.0000 0.0000 18.1053
La Ag Sn
4 1 8
direct
0.0000 0.0000 0.0000
0.0000 0.5000 0.4796
0.5000 0.0000 0.7901
0.5000 0.5000 0.2825
0.0000 0.5000 0.7125
0.0000 0.0000 0.3221
0.0000 0.0000 0.6203
0.0000 0.5000 0.1383
0.0000 0.5000 0.8605
0.5000 0.0000 0.1450
0.5000 0.0000 0.4314
0.5000 0.5000 0.6188
0.5000 0.5000 0.9658
```

Peak list (6 most intense, 2θ = 10–90°, low angle first)
| d/Å | I_rel |
| --- | --- |
| 3.018 | 11 |
| 2.842 | 100 |
| 2.306 | 19 |
| 2.250 | 17 |
| 1.610 | 12 |
| 1.414 | 12 |